# TiCdWO6
Calculated powder X-ray diffraction pattern, Cu Kα, 1.54184 Å. Input: the GGA+U geometry in Alexandria.
Neutral-atom scattering factors, no anomalous dispersion.

Structural model:
Lattice parameters (Å, degrees): 4.8527 4.8527 9.3633 90.00 90.00 90.00
Atoms (fractional coordinates):
Ti  0.0000  0.0000  0.0000
Ti  0.5000  0.5000  0.5000
Cd  0.0000  0.0000  0.6704
Cd  0.5000  0.5000  0.1704
W  0.0000  0.0000  0.3367
W  0.5000  0.5000  0.8367
O  0.1750  0.1750  0.1698
O  0.2148  0.2148  0.4733
O  0.2179  0.2179  0.8584
O  0.2821  0.7179  0.3584
O  0.2852  0.7148  0.9733
O  0.3250  0.6750  0.6698
O  0.6750  0.3250  0.6698
O  0.7148  0.2852  0.9733
O  0.7179  0.2821  0.3584
O  0.7821  0.7821  0.8584
O  0.7852  0.7852  0.4733
O  0.8250  0.8250  0.1698

Largest 10 diffraction maxima, in order of rising 2θ, 2θ = 15–90°:
2θ = 20.6°, I 35.6, (1 0 1)
2θ = 26.0°, I 100.0, (1 1 0)
2θ = 34.2°, I 77.7, (1 0 3)
2θ = 37.1°, I 21.8, (2 0 0)
2θ = 51.3°, I 62.9, (2 1 3)
2θ = 53.4°, I 17.1, (2 2 0)
2θ = 60.3°, I 15.5, (3 1 0)
2θ = 64.9°, I 18.3, (3 0 3)
2θ = 65.7°, I 13.7, (1 1 6)
2θ = 77.2°, I 13.3, (3 2 3)